1.
# PuZnAu2
Calculated X-ray diffraction stick pattern, λ = 1.5418 Å (Cu Kα). Input: a DFT-relaxed cell (GGA-PBE, the Materials Project).

Largest 10 diffraction maxima, in order of falling intensity, 10° ≤ 2θ ≤ 90°:
2θ/deg  I/Imax
36.48  100
65.67  37
52.55  18
88.85  17
22.10  12
77.52  12
43.07  7
57.69  3
81.80  2
70.21  2

Structure:
a = 6.966 Å, b = 6.966 Å, c = 6.966 Å
α = 90.00°, β = 90.00°, γ = 90.00°
Element x y z (fractional)
1 Pu 0.000 0.000 0.000
2 Pu 0.000 0.500 0.500
3 Pu 0.500 0.000 0.500
4 Pu 0.500 0.500 0.000
5 Zn 0.000 0.000 0.500
6 Zn 0.000 0.500 0.000
7 Zn 0.500 0.000 0.000
8 Zn 0.500 0.500 0.500
9 Au 0.250 0.250 0.250
10 Au 0.250 0.250 0.750
11 Au 0.250 0.750 0.250
12 Au 0.250 0.750 0.750
13 Au 0.750 0.250 0.250
14 Au 0.750 0.250 0.750
15 Au 0.750 0.750 0.250
16 Au 0.750 0.750 0.750

=====

2.
# MgTa2N3
Calculated X-ray diffraction stick pattern, λ = 1.5418 Å (Cu Kα). Input: a DFT-relaxed cell (GGA-PBE, the Materials Project).

Largest 10 diffraction maxima, in order of falling intensity, 10° ≤ 2θ ≤ 90°:
2θ/deg  I/Imax
41.06  100
35.40  99
35.66  97
59.93  64
22.60  59
41.67  48
18.93  46
30.44  29
40.68  29
70.99  28

Structure:
a = 3.092 Å, b = 4.335 Å, c = 9.377 Å
α = 90.00°, β = 90.00°, γ = 90.00°
Element x y z (fractional)
1 Mg 0.000 0.000 0.000
2 Mg 0.500 0.500 0.500
3 Ta 0.000 0.000 0.333
4 Ta 0.000 0.000 0.667
5 Ta 0.500 0.500 0.167
6 Ta 0.500 0.500 0.833
7 N 0.000 0.500 0.000
8 N 0.000 0.500 0.339
9 N 0.000 0.500 0.661
10 N 0.500 0.000 0.161
11 N 0.500 0.000 0.500
12 N 0.500 0.000 0.839

=====

3.
# Li8NbS6
Calculated X-ray diffraction stick pattern, λ = 1.5418 Å (Cu Kα). Input: a DFT-relaxed cell (GGA-PBE, the Materials Project).

Largest 10 diffraction maxima, in order of falling intensity, 10° ≤ 2θ ≤ 90°:
2θ/deg  I/Imax
30.17  100
15.88  74
39.62  61
17.94  60
46.54  42
14.40  35
52.18  25
24.57  16
62.73  14
56.47  13

Structure:
a = 7.285 Å, b = 7.285 Å, c = 7.285 Å
α = 55.29°, β = 55.29°, γ = 55.29°
Element x y z (fractional)
1 Li 0.020 0.396 0.726
2 Li 0.159 0.159 0.159
3 Li 0.274 0.980 0.604
4 Li 0.396 0.726 0.020
5 Li 0.604 0.274 0.980
6 Li 0.726 0.020 0.396
7 Li 0.841 0.841 0.841
8 Li 0.980 0.604 0.274
9 Nb 0.500 0.500 0.500
10 S 0.116 0.739 0.411
11 S 0.261 0.589 0.884
12 S 0.411 0.116 0.739
13 S 0.589 0.884 0.261
14 S 0.739 0.411 0.116
15 S 0.884 0.261 0.589

=====

4.
# KAl2Si4H2O12
Calculated X-ray diffraction stick pattern, λ = 1.5418 Å (Cu Kα). Input: a DFT-relaxed cell (GGA-PBE, the Materials Project).

Largest 10 diffraction maxima, in order of falling intensity, 10° ≤ 2θ ≤ 90°:
2θ/deg  I/Imax
34.51  100
19.61  97
24.91  73
29.12  72
27.33  72
23.33  52
22.45  47
26.01  46
30.58  44
34.04  44

Structure:
a = 5.282 Å, b = 5.282 Å, c = 20.755 Å
α = 93.01°, β = 93.01°, γ = 120.32°
Element x y z (fractional)
1 K 0.097 0.903 0.750
2 K 0.903 0.097 0.250
3 Al 0.164 0.329 0.000
4 Al 0.329 0.164 0.500
5 Al 0.671 0.836 0.500
6 Al 0.836 0.671 0.000
7 Si 0.188 0.707 0.132
8 Si 0.293 0.812 0.368
9 Si 0.395 0.531 0.632
10 Si 0.469 0.605 0.868
11 Si 0.531 0.395 0.132
12 Si 0.605 0.469 0.368
13 Si 0.707 0.188 0.632
14 Si 0.812 0.293 0.868
15 H 0.023 0.729 0.563
16 H 0.271 0.977 0.937
17 H 0.729 0.023 0.063
18 H 0.977 0.271 0.437
19 O 0.019 0.901 0.549
20 O 0.061 0.408 0.655
21 O 0.099 0.981 0.951
22 O 0.125 0.402 0.834
23 O 0.126 0.630 0.053
24 O 0.342 0.532 0.165
25 O 0.370 0.874 0.447
26 O 0.402 0.125 0.334
27 O 0.408 0.061 0.155
28 O 0.412 0.517 0.553
29 O 0.468 0.658 0.335
30 O 0.483 0.588 0.947
31 O 0.517 0.412 0.053
32 O 0.532 0.342 0.665
33 O 0.588 0.483 0.447
34 O 0.592 0.939 0.845
35 O 0.598 0.875 0.666
36 O 0.630 0.126 0.553
37 O 0.658 0.468 0.835
38 O 0.874 0.370 0.947
39 O 0.875 0.598 0.166
40 O 0.901 0.019 0.049
41 O 0.939 0.592 0.345
42 O 0.981 0.099 0.451

=====

5.
# Ca6Al7O16F
Calculated X-ray diffraction stick pattern, λ = 1.5418 Å (Cu Kα). Input: a DFT-relaxed cell (GGA-PBE, the Materials Project).

Largest 10 diffraction maxima, in order of falling intensity, 10° ≤ 2θ ≤ 90°:
2θ/deg  I/Imax
17.92  100
32.90  66
36.30  53
18.15  50
33.07  50
29.34  42
33.58  33
41.48  28
30.10  26
27.46  23

Structure:
a = 10.458 Å, b = 10.458 Å, c = 10.458 Å
α = 108.81°, β = 108.81°, γ = 110.80°
Element x y z (fractional)
1 Ca 0.009 0.625 0.884
2 Ca 0.195 0.195 0.000
3 Ca 0.263 0.125 0.638
4 Ca 0.375 0.259 0.384
5 Ca 0.375 0.737 0.862
6 Ca 0.487 0.625 0.362
7 Ca 0.555 0.055 0.500
8 Ca 0.741 0.125 0.116
9 Ca 0.805 0.805 0.000
10 Ca 0.875 0.513 0.138
11 Ca 0.875 0.991 0.616
12 Ca 0.945 0.445 0.500
13 Al 0.002 0.125 0.377
14 Al 0.091 0.380 0.255
15 Al 0.125 0.837 0.745
16 Al 0.130 0.341 0.755
17 Al 0.163 0.909 0.289
18 Al 0.250 0.750 0.500
19 Al 0.375 0.998 0.123
20 Al 0.500 0.500 0.000
21 Al 0.587 0.375 0.245
22 Al 0.620 0.875 0.711
23 Al 0.625 0.870 0.211
24 Al 0.659 0.413 0.789
25 Al 0.748 0.625 0.623
26 Al 0.875 0.252 0.877
27 O 0.010 0.282 0.345
28 O 0.032 0.260 0.845
29 O 0.037 0.171 0.567
30 O 0.104 0.564 0.339
31 O 0.122 0.001 0.744
32 O 0.128 0.508 0.756
33 O 0.146 0.079 0.366
34 O 0.220 0.854 0.933
35 O 0.224 0.764 0.661
36 O 0.236 0.896 0.460
37 O 0.258 0.378 0.256
38 O 0.314 0.354 0.839
39 O 0.335 0.990 0.272
40 O 0.415 0.187 0.155
41 O 0.436 0.776 0.540
42 O 0.492 0.249 0.621
43 O 0.514 0.474 0.161
44 O 0.526 0.686 0.040
45 O 0.530 0.963 0.134
46 O 0.604 0.470 0.433
47 O 0.622 0.878 0.879
48 O 0.628 0.872 0.379
49 O 0.646 0.486 0.960
50 O 0.713 0.780 0.634
51 O 0.718 0.063 0.728
52 O 0.740 0.585 0.772
53 O 0.751 0.372 0.244
54 O 0.813 0.968 0.228
55 O 0.829 0.396 0.866
56 O 0.921 0.287 0.067
57 O 0.937 0.665 0.655
58 O 0.999 0.742 0.121
59 F 0.000 0.000 0.000
60 F 0.750 0.250 0.500

=====

6.
# Na2CdCl4
Calculated X-ray diffraction stick pattern, λ = 1.5418 Å (Cu Kα). Input: a DFT-relaxed cell (GGA-PBE, the Materials Project).

Largest 10 diffraction maxima, in order of falling intensity, 10° ≤ 2θ ≤ 90°:
2θ/deg  I/Imax
14.46  100
26.62  76
36.96  54
45.38  36
45.54  32
25.33  26
33.77  26
14.59  25
34.59  21
29.43  21

Structure:
a = 7.098 Å, b = 12.141 Å, c = 3.998 Å
α = 90.00°, β = 90.00°, γ = 90.00°
Element x y z (fractional)
1 Na 0.089 0.185 0.000
2 Na 0.411 0.685 0.000
3 Na 0.589 0.315 0.000
4 Na 0.911 0.815 0.000
5 Cd 0.000 0.500 0.500
6 Cd 0.500 0.000 0.500
7 Cl 0.126 0.703 0.500
8 Cl 0.246 0.457 0.000
9 Cl 0.254 0.957 0.000
10 Cl 0.374 0.203 0.500
11 Cl 0.626 0.797 0.500
12 Cl 0.746 0.043 0.000
13 Cl 0.754 0.543 0.000
14 Cl 0.874 0.297 0.500

=====

7.
# MoWSeS3
Calculated X-ray diffraction stick pattern, λ = 1.5418 Å (Cu Kα). Input: a DFT-relaxed cell (GGA-PBE, the Materials Project).

Largest 10 diffraction maxima, in order of falling intensity, 10° ≤ 2θ ≤ 90°:
2θ/deg  I/Imax
12.17  100
37.85  54
45.95  32
32.13  31
14.61  24
57.23  18
34.44  14
47.85  13
32.96  12
58.73  10

Structure:
a = 3.220 Å, b = 3.220 Å, c = 36.375 Å
α = 90.00°, β = 90.00°, γ = 120.00°
Element x y z (fractional)
1 Mo 0.000 0.000 0.000
2 Mo 0.333 0.667 0.188
3 W 0.000 0.000 0.376
4 W 0.333 0.667 0.564
5 Se 0.000 0.000 0.141
6 Se 0.000 0.000 0.235
7 S 0.000 0.000 0.521
8 S 0.000 0.000 0.607
9 S 0.333 0.667 0.043
10 S 0.333 0.667 0.333
11 S 0.333 0.667 0.419
12 S 0.333 0.667 0.957

=====

8.
# KNaTiH2O3F4
Calculated X-ray diffraction stick pattern, λ = 1.5418 Å (Cu Kα). Input: a DFT-relaxed cell (GGA-PBE, the Materials Project).

Largest 10 diffraction maxima, in order of falling intensity, 10° ≤ 2θ ≤ 90°:
2θ/deg  I/Imax
18.34  100
30.66  70
17.49  51
29.06  49
41.80  40
27.93  39
29.71  37
34.04  34
37.46  32
49.71  30

Structure:
a = 10.840 Å, b = 5.869 Å, c = 10.512 Å
α = 90.00°, β = 106.44°, γ = 90.00°
Element x y z (fractional)
1 K 0.167 0.039 0.105
2 K 0.167 0.461 0.605
3 K 0.833 0.539 0.395
4 K 0.833 0.961 0.895
5 Na 0.433 0.513 0.286
6 Na 0.433 0.987 0.786
7 Na 0.567 0.013 0.214
8 Na 0.567 0.487 0.714
9 Ti 0.339 0.055 0.461
10 Ti 0.339 0.445 0.961
11 Ti 0.661 0.555 0.039
12 Ti 0.661 0.945 0.539
13 H 0.005 0.048 0.286
14 H 0.005 0.452 0.786
15 H 0.134 0.508 0.305
16 H 0.134 0.992 0.805
17 H 0.866 0.008 0.195
18 H 0.866 0.492 0.695
19 H 0.995 0.548 0.214
20 H 0.995 0.952 0.714
21 O 0.052 0.582 0.303
22 O 0.052 0.918 0.803
23 O 0.164 0.059 0.460
24 O 0.164 0.441 0.960
25 O 0.238 0.616 0.047
26 O 0.238 0.884 0.547
27 O 0.762 0.116 0.453
28 O 0.762 0.384 0.953
29 O 0.836 0.559 0.040
30 O 0.836 0.941 0.540
31 O 0.948 0.082 0.197
32 O 0.948 0.418 0.697
33 F 0.279 0.187 0.838
34 F 0.279 0.313 0.338
35 F 0.331 0.643 0.816
36 F 0.331 0.857 0.316
37 F 0.394 0.230 0.106
38 F 0.394 0.270 0.606
39 F 0.482 0.654 0.077
40 F 0.482 0.846 0.577
41 F 0.518 0.154 0.423
42 F 0.518 0.346 0.923
43 F 0.606 0.730 0.394
44 F 0.606 0.770 0.894
45 F 0.669 0.143 0.684
46 F 0.669 0.357 0.184
47 F 0.721 0.687 0.662
48 F 0.721 0.813 0.162

=====

9.
# LiCu2F4
Calculated X-ray diffraction stick pattern, λ = 1.5418 Å (Cu Kα). Input: a DFT-relaxed cell (GGA-PBE, the Materials Project).

Largest 10 diffraction maxima, in order of falling intensity, 10° ≤ 2θ ≤ 90°:
2θ/deg  I/Imax
32.10  100
17.99  100
19.11  72
35.85  66
40.39  62
29.74  44
59.74  41
32.85  34
56.15  27
34.08  27

Structure:
a = 3.019 Å, b = 9.863 Å, c = 5.288 Å
α = 90.00°, β = 95.64°, γ = 90.00°
Element x y z (fractional)
1 Li 0.037 0.250 0.222
2 Li 0.963 0.750 0.778
3 Cu 0.359 0.075 0.735
4 Cu 0.359 0.425 0.735
5 Cu 0.641 0.575 0.265
6 Cu 0.641 0.925 0.265
7 F 0.000 0.000 0.000
8 F 0.000 0.500 0.000
9 F 0.324 0.617 0.581
10 F 0.324 0.883 0.581
11 F 0.426 0.250 0.929
12 F 0.574 0.750 0.071
13 F 0.676 0.117 0.419
14 F 0.676 0.383 0.419